Record 1
Starting from a structure optimized by DFT (PBE+U), the X-ray diffraction stick pattern of VAgS2O8 was simulated for a wavelength of 1.5418 Å.
Peak positions follow from Bragg's law for the DFT cell and can differ from measured ones.

Atomic structure:
```
VAgS2O8
1.0
4.1034 -2.6251 0.0000
4.1034 2.6251 0.0000
-0.1892 0.0000 7.4354
V Ag S O
1 1 2 8
Cartesian
0.0000 0.0000 0.0000
-0.0946 0.0000 3.7177
2.9326 0.0000 1.5996
5.0851 0.0000 5.8359
3.8271 1.2175 1.4560
1.9771 0.0000 0.4666
2.3262 0.0000 2.9165
4.1906 1.2175 5.9795
3.8271 -1.2175 1.4560
5.6914 0.0000 4.5190
6.0406 0.0000 6.9689
4.1906 -1.2175 5.9795
```

Most intense lines, 2θ from 10° to 90°, sorted by position:
| Position (°2θ) | I (rel.) |
| --- | --- |
| 20.1 | 63 |
| 21.7 | 60 |
| 23.5 | 98 |
| 24.5 | 43 |
| 31.2 | 100 |
| 31.7 | 73 |
| 34.2 | 42 |
| 37.1 | 67 |
| 42.1 | 28 |
| 44.1 | 28 |

***

Record 2
Starting from a structure optimized by DFT (PBE+U), the X-ray diffraction stick pattern of K2Cr3O9 was simulated for a wavelength of 1.5418 Å.
Peak positions follow from Bragg's law for the DFT cell and can differ from measured ones.

Atomic structure:
```
K2Cr3O9
1.0
8.2258 0.0000 0.0000
0.0000 6.0035 0.0000
-3.9549 0.0000 8.5963
K Cr O
4 6 18
Cartesian
1.0695 1.5009 0.7239
-1.0548 4.5026 6.4282
5.3258 1.5009 2.1681
3.2015 4.5026 7.8724
-0.6971 4.5026 2.8388
3.0885 4.5026 1.5163
2.1355 0.0000 4.2982
2.1355 3.0017 4.2982
1.1825 1.5009 7.0800
4.9680 1.5009 5.7575
-0.7675 3.1813 1.8800
-0.7675 5.8239 1.8800
-1.9731 1.5009 4.7691
1.8140 4.5026 0.5003
0.8397 4.5026 3.7943
1.1935 1.5009 3.7232
-0.1911 1.5009 7.9494
1.2485 0.1257 6.0701
1.2485 2.8761 6.0701
3.0225 3.1274 2.5262
3.0225 5.8778 2.5262
4.4621 4.5026 0.6469
3.0774 4.5026 4.8731
3.4312 1.5009 4.8020
2.4570 1.5009 8.0960
6.2440 4.5026 3.8272
5.0385 0.1796 6.7164
5.0385 2.8222 6.7164
```

Most intense lines, 2θ from 10° to 90°, sorted by position:
| Position (°2θ) | I (rel.) |
| --- | --- |
| 12.0 | 26 |
| 18.0 | 32 |
| 19.0 | 25 |
| 23.8 | 42 |
| 26.3 | 100 |
| 28.3 | 54 |
| 29.8 | 38 |
| 31.7 | 67 |
| 41.5 | 28 |
| 52.1 | 27 |

***

Record 3
Starting from a structure optimized by DFT (PBE+U), the X-ray diffraction stick pattern of PrMo6O12 was simulated for a wavelength of 1.5418 Å.
Peak positions follow from Bragg's law for the DFT cell and can differ from measured ones.

Atomic structure:
```
PrMo6O12
1.0
-5.1346 5.1346 4.9548
5.1346 -5.1346 4.9548
5.1346 5.1346 -4.9548
Pr Mo O
2 12 24
Cartesian
0.0000 0.0000 2.4264
0.0000 0.0000 7.4832
6.6449 1.7319 -1.6508
3.3113 1.4865 0.0000
1.7319 3.6242 -1.6508
3.6481 -1.8233 4.9548
6.6449 1.7319 1.6508
3.4027 1.5103 3.3039
1.7319 3.6242 1.6508
-1.5103 3.4027 3.3039
1.4865 6.9579 0.0000
3.4027 1.5103 6.6056
1.8233 3.6481 4.9548
-1.5103 3.4027 6.6056
4.5916 1.6500 -1.5834
3.7294 -3.2703 3.2638
8.4049 -1.4052 1.6909
6.8384 0.4575 0.0000
3.4846 -0.5430 3.3714
6.7115 3.1137 0.0000
1.8643 1.4052 1.6909
4.5916 1.6500 1.5834
0.4575 3.4307 0.0000
3.1137 3.5577 0.0000
-1.4052 1.8643 1.6909
1.6500 5.6775 -1.5834
3.4846 -0.5430 6.5382
6.5398 3.2703 3.2638
2.0209 1.5769 4.9548
4.6771 1.7039 4.9548
0.5430 3.4846 3.3714
3.2703 3.7294 3.2638
-1.5769 2.0209 4.9548
1.6500 5.6775 1.5834
-1.7039 4.6771 4.9548
-3.2703 6.5398 3.2638
1.4052 8.4049 1.6909
0.5430 3.4846 6.5382
```

Most intense lines, 2θ from 10° to 90°, sorted by position:
| Position (°2θ) | I (rel.) |
| --- | --- |
| 21.7 | 18 |
| 24.5 | 14 |
| 25.0 | 14 |
| 27.5 | 100 |
| 33.4 | 94 |
| 39.2 | 19 |
| 45.6 | 36 |
| 53.5 | 19 |
| 55.7 | 37 |
| 64.6 | 22 |

***

Record 4
Starting from a structure optimized by DFT (PBE+U), the X-ray diffraction stick pattern of Pm2W3O12 was simulated for a wavelength of 1.5418 Å.
Peak positions follow from Bragg's law for the DFT cell and can differ from measured ones.

Atomic structure:
```
Pm2W3O12
1.0
3.9520 -5.8455 0.0000
3.9520 5.8455 0.0000
-3.9335 0.0000 10.9896
Pm W O
4 6 24
Cartesian
1.0450 1.4842 1.0295
-0.9217 -1.4842 6.5243
4.8923 1.4842 4.4653
2.9256 -1.4842 9.9601
2.9687 4.4725 2.7474
0.9586 1.6914 4.9533
-1.0081 -1.6914 10.4481
4.9787 1.6914 0.5415
3.0120 -1.6914 6.0363
1.0019 -4.4725 8.2422
1.5592 3.4134 2.3982
3.4500 5.3663 1.2040
2.4874 5.3663 4.2908
0.7962 3.3569 6.3203
0.9934 0.8516 3.3289
3.2135 2.3379 0.4220
0.6403 0.3932 6.1321
1.2076 3.3569 10.1641
-0.9733 -0.8516 8.8237
2.7238 2.3379 5.0728
2.6070 -0.3932 0.6372
4.3781 3.4134 3.0966
-0.4075 -3.4134 7.8930
1.3636 0.3932 10.3524
1.2468 -2.3379 5.9168
4.9439 0.8516 2.1659
2.7630 -3.3569 0.8255
3.3303 -0.3932 4.8576
0.7571 -2.3379 10.5676
2.9772 -0.8516 7.6607
3.1743 -3.3569 4.6693
1.4832 -5.3663 6.6988
0.5206 -5.3663 9.7856
2.4114 -3.4134 8.5914
```

Most intense lines, 2θ from 10° to 90°, sorted by position:
| Position (°2θ) | I (rel.) |
| --- | --- |
| 16.1 | 16 |
| 18.2 | 26 |
| 24.4 | 28 |
| 27.2 | 100 |
| 28.8 | 71 |
| 30.6 | 27 |
| 33.4 | 33 |
| 45.9 | 57 |
| 52.4 | 14 |
| 55.1 | 23 |

***

Record 5
Starting from a structure optimized by DFT (PBE+U), the X-ray diffraction stick pattern of Li2MnSiO4 was simulated for a wavelength of 1.5418 Å.
Peak positions follow from Bragg's law for the DFT cell and can differ from measured ones.

Atomic structure:
```
Li2MnSiO4
1.0
10.8963 0.0000 0.0000
0.0000 6.4051 0.0000
0.0000 0.0000 5.0868
Li Mn Si O
8 4 4 16
Cartesian
1.8252 0.0183 1.0515
1.8252 3.1842 1.0515
3.6229 3.2209 3.5949
3.6229 6.3868 3.5949
7.2734 0.0183 1.4919
7.2734 3.1842 1.4919
9.0710 3.2209 4.0354
9.0710 6.3868 4.0354
0.8589 4.8039 4.0240
4.5892 1.6013 1.4806
6.3071 4.8039 3.6063
10.0374 1.6013 1.0629
0.9877 1.6013 3.5334
4.4605 4.8039 0.9900
6.4358 1.6013 4.0969
9.9086 4.8039 1.5535
0.6033 4.8039 1.0900
1.0437 1.6013 1.8788
1.7660 0.2593 4.1020
1.7660 2.9433 4.1020
3.6822 3.4618 1.5586
3.6822 6.1459 1.5586
4.4045 4.8039 4.4222
4.8449 1.6013 3.6334
6.0514 4.8039 1.4534
6.4918 1.6013 0.6647
7.2141 0.2593 3.5282
7.2141 2.9433 3.5282
9.1303 3.4618 0.9848
9.1303 6.1459 0.9848
9.8526 4.8039 3.2081
10.2930 1.6013 3.9968
```

Most intense lines, 2θ from 10° to 90°, sorted by position:
| Position (°2θ) | I (rel.) |
| --- | --- |
| 16.3 | 48 |
| 23.9 | 100 |
| 27.9 | 45 |
| 32.4 | 62 |
| 32.9 | 26 |
| 33.4 | 26 |
| 35.3 | 55 |
| 47.3 | 22 |
| 48.7 | 21 |
| 58.4 | 30 |